No. 1
Diffraction record for Mn3Cu2NiO8. The XRD peak list is theoretical, not measured: it uses DFT lattice parameters and positions (PBE+U) and copper Kα.
Lines closer than 0.1° are merged.

Top 8 peaks for 2θ = 15–90°, low angle first:
| hkl | two_theta | I_rel |
| --- | --- | --- |
| 1 1 0 | 30.05 | 35 |
| 1 1 3 | 35.40 | 100 |
| 0 2 4 | 43.02 | 15 |
| 0 1 8 | 53.36 | 12 |
| 0 3 3 | 56.89 | 36 |
| 2 2 0 | 62.47 | 43 |
| 3 1 5 | 73.89 | 10 |
| 4 1 3 | 89.51 | 17 |

Structure:
a b c (Å): 5.9464 5.9464 14.5709
angles (deg): 90.00 90.00 120.00
Space group R-3m (No. 166, hexagonal axes)
Unique sites:
Mn (0.0000, 0.5000, 0.0000) [9 per cell]
Cu (0.0000, 0.0000, 0.1232) [6 per cell]
Ni (0.0000, 0.0000, 0.5000) [3 per cell]
O (0.0000, 0.0000, 0.2582) [6 per cell]
O (0.0276, 0.5138, 0.2595) [18 per cell]

No. 2
Diffraction record for Li3Fe5Ni2O12. The XRD peak list is theoretical, not measured: it uses DFT lattice parameters and positions (PBE+U) and copper Kα.
Lines closer than 0.1° are merged.

Top 8 peaks for 2θ = 15–90°, low angle first:
| hkl | two_theta | I_rel |
| --- | --- | --- |
| 0 0 2 | 18.51 | 55 |
| 0 2 0 | 20.14 | 29 |
| 1 1 1 | 23.08 | 49 |
| 1 3 1 | 37.06 | 41 |
| 2 0 2 | 42.18 | 57 |
| 1 3 -3 | 43.69 | 100 |
| 3 3 -1 | 61.99 | 29 |
| 1 3 5 | 62.70 | 28 |

Structure:
a b c (Å): 5.2206 8.8181 9.6991
angles (deg): 90.00 98.63 90.00
Space group C2 (No. 5)
Unique sites:
Li (0.0000, 0.0000, 0.0000) [2 per cell]
Li (0.2396, 0.8271, 0.2464) [4 per cell]
Fe (0.0000, 0.3442, 0.0000) [2 per cell]
Fe (0.0000, 0.4973, 0.5000) [2 per cell]
Fe (0.0000, 0.8385, 0.5000) [2 per cell]
Fe (0.2464, 0.1674, 0.2457) [4 per cell]
Ni (0.0000, 0.1620, 0.5000) [2 per cell]
Ni (0.0000, 0.6640, 0.0000) [2 per cell]
O (0.0956, 0.1914, 0.8780) [4 per cell]
O (0.1021, 0.6705, 0.3781) [4 per cell]
O (0.1222, 0.8115, 0.8859) [4 per cell]
O (0.1288, 0.5092, 0.8920) [4 per cell]
O (0.1399, 0.3254, 0.3840) [4 per cell]
O (0.1512, 0.0003, 0.3801) [4 per cell]

No. 3
Diffraction record for LiCr2P3O12. The XRD peak list is theoretical, not measured: it uses DFT lattice parameters and positions (PBE+U) and copper Kα.
Lines closer than 0.1° are merged.

Top 8 peaks for 2θ = 15–90°, low angle first:
| hkl | two_theta | I_rel |
| --- | --- | --- |
| 1 1 -1 | 16.01 | 31 |
| 2 0 0 | 16.18 | 100 |
| 3 1 -1 | 24.28 | 15 |
| 1 3 -1 | 26.03 | 20 |
| 1 1 -2 | 29.73 | 40 |
| 4 0 0 | 32.70 | 14 |
| 0 4 1 | 32.98 | 22 |
| 2 4 0 | 33.37 | 24 |

Structure:
a b c (Å): 11.9088 12.3219 6.2590
angles (deg): 90.00 113.10 90.00
Space group C2/c (No. 15)
Unique sites:
Li (0.0000, 0.0000, 0.0000) [4 per cell]
Cr (0.2193, 0.3409, 0.1373) [8 per cell]
P (0.0000, 0.2234, 0.7500) [4 per cell]
P (0.2421, 0.0963, 0.3551) [8 per cell]
O (0.0564, 0.2958, 0.9694) [8 per cell]
O (0.1009, 0.1484, 0.7294) [8 per cell]
O (0.1096, 0.0724, 0.2839) [8 per cell]
O (0.1825, 0.4897, 0.1131) [8 per cell]
O (0.1987, 0.3388, 0.4130) [8 per cell]
O (0.2346, 0.3262, 0.8276) [8 per cell]